Diffraction record for SiO2. The powder X-ray diffraction pattern is calculated, not measured: it uses DFT lattice parameters and positions (PBE) and Cu Kα (weighted mean of Kα1 and Kα2).
Kinematic intensities with the Lorentz-polarization factor, no thermal factor.

Principal peaks in the range 2θ = 15–90°, sorted by position:
| 2theta | I/Imax | (hkl) |
| --- | --- | --- |
| 28.10 | 100 | 0 1 1 |
| 32.63 | 100 | 1 1 1 |
| 36.08 | 54 | 2 1 -1 |
| 45.60 | 50 | 3 1 0 |
| 46.18 | 49 | 2 1 -2 |
| 60.64 | 53 | 3 2 0 |
| 61.12 | 44 | 2 2 -2 |
| 61.70 | 46 | 1 2 2 |

Crystal structure
```
data_SiO2
_space_group_name_H-M_alt 'P 1 21/c 1'
_space_group_IT_number 14
_cell_length_a 6.957
_cell_length_b 4.127
_cell_length_c 5.075
_cell_angle_alpha 90.00
_cell_angle_beta 101.74
_cell_angle_gamma 90.00
loop_
_space_group_symop_operation_xyz
'x,y,z'
'-x,-y,-z'
'-x,y+1/2,-z+1/2'
'x,-y+1/2,z+1/2'
loop_
_atom_site_label
_atom_site_type_symbol
_atom_site_fract_x
_atom_site_fract_y
_atom_site_fract_z
Si1 Si 0.000 0.000 0.000
Si2 Si 0.335 0.003 0.800
O1 O 0.111 0.713 0.266
O2 O 0.222 0.228 0.040
O3 O 0.446 0.732 0.601
```

---

Diffraction record for FeTe2. The powder X-ray diffraction pattern is calculated, not measured: it uses DFT lattice parameters and positions (PBE) and Cu Kα (weighted mean of Kα1 and Kα2).
Kinematic intensities with the Lorentz-polarization factor, no thermal factor.

Principal peaks in the range 2θ = 15–90°, sorted by position:
| 2theta | I/Imax | (hkl) |
| --- | --- | --- |
| 31.91 | 100 | 2 1 0 |
| 35.05 | 71 | 2 1 1 |
| 48.12 | 41 | 3 1 1 |
| 52.62 | 16 | 3 0 2 |
| 54.77 | 40 | 3 1 2 |
| 68.57 | 21 | 4 2 1 |
| 82.90 | 17 | 5 0 2 |
| 88.12 | 15 | 4 4 0 |

Crystal structure
```
data_FeTe2
_space_group_name_H-M_alt 'P a -3'
_space_group_IT_number 205
_space_group_name_Hall '-P 2ac 2ab 3'
_cell_length_a 6.271
_cell_length_b 6.271
_cell_length_c 6.271
_cell_angle_alpha 90.00
_cell_angle_beta 90.00
_cell_angle_gamma 90.00
loop_
_atom_site_label
_atom_site_type_symbol
_atom_site_fract_x
_atom_site_fract_y
_atom_site_fract_z
Fe1 Fe 0.000 0.000 0.000
Te1 Te 0.132 0.632 0.868
```

---

Diffraction record for Sr2SmGaCu2O7. The powder X-ray diffraction pattern is calculated, not measured: it uses DFT lattice parameters and positions (PBE) and Cu Kα (weighted mean of Kα1 and Kα2).
Kinematic intensities with the Lorentz-polarization factor, no thermal factor.

Principal peaks in the range 2θ = 15–90°, sorted by position:
| 2theta | I/Imax | (hkl) |
| --- | --- | --- |
| 32.13 | 27 | 0 2 0 |
| 32.61 | 100 | 6 1 1 |
| 32.85 | 29 | 0 0 2 |
| 38.69 | 22 | 8 1 1 |
| 46.61 | 30 | 0 2 2 |
| 46.97 | 9 | 12 0 0 |
| 57.59 | 17 | 6 3 1 |
| 58.50 | 27 | 6 1 3 |

Crystal structure
```
data_Sr2SmGaCu2O7
_space_group_name_H-M_alt 'I m a 2'
_space_group_IT_number 46
_cell_length_a 23.214
_cell_length_b 5.572
_cell_length_c 5.453
_cell_angle_alpha 90.00
_cell_angle_beta 90.00
_cell_angle_gamma 90.00
loop_
_space_group_symop_operation_xyz
'x,y,z'
'-x,-y,z'
'-x+1/2,y,z'
'x+1/2,-y,z'
'x+1/2,y+1/2,z+1/2'
'-x+1/2,-y+1/2,z+1/2'
'-x,y+1/2,z+1/2'
'x,-y+1/2,z+1/2'
loop_
_atom_site_label
_atom_site_type_symbol
_atom_site_fract_x
_atom_site_fract_y
_atom_site_fract_z
Sr1 Sr 0.152 0.018 0.000
Sm1 Sm 0.000 0.000 0.998
Ga1 Ga 0.250 0.568 0.032
Cu1 Cu 0.074 0.501 0.997
O1 O 0.064 0.248 0.748
O2 O 0.067 0.750 0.247
O3 O 0.177 0.049 0.467
O4 O 0.250 0.621 0.381
```

---

Diffraction record for Ga3Sn3N5. The powder X-ray diffraction pattern is calculated, not measured: it uses DFT lattice parameters and positions (PBE) and Cu Kα (weighted mean of Kα1 and Kα2).
Kinematic intensities with the Lorentz-polarization factor, no thermal factor.

Principal peaks in the range 2θ = 15–90°, sorted by position:
| 2theta | I/Imax | (hkl) |
| --- | --- | --- |
| 27.86 | 43 | 1 -1 2 |
| 30.77 | 75 | 0 2 1 |
| 31.45 | 41 | 0 0 3 |
| 32.58 | 44 | 1 0 -3 |
| 32.92 | 50 | -2 1 1 |
| 33.16 | 100 | 1 2 -2 |
| 33.79 | 70 | 2 0 1 |
| 41.17 | 36 | 1 -3 1 |

Crystal structure
```
data_Ga3Sn3N5
_space_group_name_H-M_alt 'P -1'
_space_group_IT_number 2
_cell_length_a 5.996
_cell_length_b 6.930
_cell_length_c 8.872
_cell_angle_alpha 102.67
_cell_angle_beta 98.49
_cell_angle_gamma 93.95
loop_
_space_group_symop_operation_xyz
'x,y,z'
'-x,-y,-z'
loop_
_atom_site_label
_atom_site_type_symbol
_atom_site_fract_x
_atom_site_fract_y
_atom_site_fract_z
Ga1 Ga 0.104 0.196 0.038
Ga2 Ga 0.137 0.416 0.727
Ga3 Ga 0.309 0.506 0.389
Sn1 Sn 0.216 0.825 0.671
Sn2 Sn 0.272 0.002 0.346
Sn3 Sn 0.388 0.670 0.110
N1 N 0.053 0.348 0.242
N2 N 0.117 0.749 0.415
N3 N 0.195 0.934 0.080
N4 N 0.267 0.378 0.937
N5 N 0.366 0.532 0.624
```

---

Diffraction record for U2AgGe2O12. The powder X-ray diffraction pattern is calculated, not measured: it uses DFT lattice parameters and positions (PBE) and Cu Kα (weighted mean of Kα1 and Kα2).
Kinematic intensities with the Lorentz-polarization factor, no thermal factor.

Principal peaks in the range 2θ = 15–90°, sorted by position:
| 2theta | I/Imax | (hkl) |
| --- | --- | --- |
| 20.53 | 92 | 0 2 2 |
| 24.15 | 100 | 1 2 2 |
| 25.32 | 49 | 2 0 0 |
| 28.32 | 37 | 2 0 2 |
| 30.17 | 37 | 2 2 0 |
| 32.77 | 42 | 1 2 4 |
| 35.19 | 59 | 1 1 5 |
| 52.91 | 32 | 0 5 5 |

Crystal structure
```
data_U2AgGe2O12
_space_group_name_H-M_alt 'A m a 2'
_space_group_IT_number 40
_cell_length_a 7.035
_cell_length_b 10.950
_cell_length_c 14.128
_cell_angle_alpha 90.00
_cell_angle_beta 90.00
_cell_angle_gamma 90.00
loop_
_space_group_symop_operation_xyz
'x,y,z'
'-x,-y,z'
'-x+1/2,y,z'
'x+1/2,-y,z'
'x,y+1/2,z+1/2'
'-x,-y+1/2,z+1/2'
'-x+1/2,y+1/2,z+1/2'
'x+1/2,-y+1/2,z+1/2'
loop_
_atom_site_label
_atom_site_type_symbol
_atom_site_fract_x
_atom_site_fract_y
_atom_site_fract_z
U1 U 0.250 0.193 0.000
U2 U 0.250 0.193 0.406
Ag1 Ag 0.000 0.000 0.799
Ge1 Ge 0.250 0.382 0.591
Ge2 Ge 0.250 0.384 0.816
O1 O 0.066 0.325 0.518
O2 O 0.068 0.321 0.887
O3 O 0.250 0.034 0.715
O4 O 0.250 0.041 0.099
O5 O 0.250 0.043 0.305
O6 O 0.250 0.075 0.895
O7 O 0.250 0.079 0.499
O8 O 0.250 0.310 0.704
O9 O 0.250 0.311 0.090
O10 O 0.250 0.324 0.322
```

---

Diffraction record for AcNd3. The powder X-ray diffraction pattern is calculated, not measured: it uses DFT lattice parameters and positions (PBE) and Cu Kα (weighted mean of Kα1 and Kα2).
Kinematic intensities with the Lorentz-polarization factor, no thermal factor.

Principal peaks in the range 2θ = 15–90°, sorted by position:
| 2theta | I/Imax | (hkl) |
| --- | --- | --- |
| 29.13 | 100 | 1 1 2 |
| 33.76 | 51 | 2 0 0 |
| 48.49 | 37 | 2 2 0 |
| 57.57 | 45 | 3 1 2 |
| 60.39 | 13 | 2 2 4 |
| 71.00 | 6 | 4 0 0 |
| 78.52 | 18 | 3 3 2 |
| 80.97 | 17 | 4 2 0 |

Crystal structure
```
data_AcNd3
_space_group_name_H-M_alt 'I 4/m m m'
_space_group_IT_number 139
_space_group_name_Hall '-I 4 2'
_cell_length_a 5.309
_cell_length_b 5.309
_cell_length_c 10.622
_cell_angle_alpha 90.00
_cell_angle_beta 90.00
_cell_angle_gamma 90.00
loop_
_atom_site_label
_atom_site_type_symbol
_atom_site_fract_x
_atom_site_fract_y
_atom_site_fract_z
Ac1 Ac 0.000 0.000 0.000
Nd1 Nd 0.000 0.000 0.500
Nd2 Nd 0.000 0.500 0.250
```

---

Diffraction record for BaVN2. The powder X-ray diffraction pattern is calculated, not measured: it uses DFT lattice parameters and positions (PBE) and Cu Kα (weighted mean of Kα1 and Kα2).
Kinematic intensities with the Lorentz-polarization factor, no thermal factor.

Principal peaks in the range 2θ = 15–90°, sorted by position:
| 2theta | I/Imax | (hkl) |
| --- | --- | --- |
| 28.56 | 59 | 1 1 2 |
| 29.44 | 100 | 1 3 1 |
| 30.75 | 43 | 2 0 0 |
| 31.99 | 17 | 0 4 1 |
| 37.75 | 22 | 0 2 3 |
| 38.67 | 22 | 2 0 2 |
| 53.86 | 18 | 3 3 1 |
| 56.57 | 15 | 2 4 3 |

Crystal structure
```
data_BaVN2
_space_group_name_H-M_alt 'C m c e'
_space_group_IT_number 64
_space_group_name_Hall '-C 2ac 2'
_cell_length_a 5.816
_cell_length_b 11.990
_cell_length_c 7.792
_cell_angle_alpha 90.00
_cell_angle_beta 90.00
_cell_angle_gamma 90.00
loop_
_atom_site_label
_atom_site_type_symbol
_atom_site_fract_x
_atom_site_fract_y
_atom_site_fract_z
Ba1 Ba 0.000 0.168 0.069
V1 V 0.000 0.056 0.642
N1 N 0.000 0.102 0.412
N2 N 0.250 0.117 0.750
```